Record 1
For Mn2C, a cell relaxed with GGA-PBE gives the computed powder X-ray diffraction pattern in this record (λ = 1.5418 Å (Cu Kα)).
Kinematic intensities with the Lorentz-polarization factor, no thermal factor.

Largest 9 diffraction maxima, by angle, 2θ from 10° to 80°:
d [Å]  I (rel.)
3.032  2
2.416  17
2.199  21
2.118  100
1.626  18
1.489  1
1.395  17
1.253  15
1.208  2

Cell and atoms:
```
Mn2C
1.0
4.8329 0.0000 0.0000
-2.4165 4.1854 0.0000
0.0000 0.0000 4.3971
Mn C
6 3
Cartesian
-0.8271 1.4327 1.0719
-1.5893 2.7528 3.3253
1.6543 0.0000 1.0719
0.8271 1.4327 3.3253
3.1786 0.0000 3.3253
1.5893 2.7528 1.0719
0.0000 0.0000 0.0000
0.0000 2.7903 2.1986
2.4165 1.3951 2.1986
```


Record 2
For Sm2CuAu2, a cell relaxed with GGA-PBE gives the computed powder X-ray diffraction pattern in this record (λ = 1.5418 Å (Cu Kα)).
Kinematic intensities with the Lorentz-polarization factor, no thermal factor.

Largest 10 diffraction maxima, by angle, 2θ from 10° to 80°:
d [Å]  I (rel.)
2.876  24
2.786  100
2.670  44
2.635  60
2.442  36
2.326  76
2.279  30
2.050  38
1.618  23
1.419  19

Cell and atoms:
```
Sm2CuAu2
1.0
4.0995 0.0000 0.0000
-2.0457 5.2954 0.0000
-2.0333 -0.9255 10.5283
Sm Cu Au
4 2 4
Cartesian
-1.0183 0.9976 4.0650
-1.0107 0.9730 8.8432
1.0312 3.3969 1.6851
1.0388 3.3723 6.4633
1.0283 0.2886 1.8830
-1.0078 4.0813 8.6453
-3.0589 3.1150 9.9245
-1.0132 3.9751 4.0468
1.0337 0.3948 6.4815
3.0794 1.2549 0.6038
```


Record 3
For Na4Cu5Te6, a cell relaxed with GGA-PBE gives the computed powder X-ray diffraction pattern in this record (λ = 1.5418 Å (Cu Kα)).
Kinematic intensities with the Lorentz-polarization factor, no thermal factor.

Largest 10 diffraction maxima, by angle, 2θ from 10° to 80°:
d [Å]  I (rel.)
8.347  19
4.234  19
3.861  36
3.753  24
3.564  47
2.967  34
2.792  44
2.416  22
2.164  40
2.088  100

Cell and atoms:
```
Na4Cu5Te6
1.0
2.1642 -10.1663 0.0000
2.1642 10.1663 0.0000
0.0000 0.0000 16.6950
Na Cu Te
8 10 12
Cartesian
2.1642 10.1464 8.3475
2.1642 10.0214 12.5962
2.1642 6.6689 15.9496
2.1642 6.3008 5.3314
2.1642 -6.3008 13.6789
2.1642 -6.6689 7.6021
2.1642 -10.0214 4.2487
2.1642 -10.1464 0.0000
2.1642 7.4117 10.5010
2.1642 4.3058 10.6978
2.1642 3.0462 0.2711
2.1642 2.7515 4.0643
2.1642 2.2546 12.1222
2.1642 -2.2546 3.7748
2.1642 -2.7515 12.4118
2.1642 -3.0462 8.6186
2.1642 -4.3058 2.3504
2.1642 -7.4117 2.1535
2.1642 7.5735 2.3094
2.1642 5.9677 12.7588
2.1642 5.6678 8.4643
2.1642 1.5981 14.6083
2.1642 1.3634 6.3187
2.1642 1.1161 2.0353
2.1642 -1.1161 10.3827
2.1642 -1.3634 14.6661
2.1642 -1.5981 6.2608
2.1642 -5.6678 0.1168
2.1642 -5.9677 4.4113
2.1642 -7.5735 10.6569
```